# 1
This entry pairs a crystal structure of Al2ReSb with its calculated X-ray powder pattern. Radiation: CuKα. Structure: DFT lattice parameters and positions (GGA-PBE).
Intensities are scaled so that the largest is 100.

Most intense lines, 15° ≤ 2θ ≤ 90°, in order of falling intensity:
- 2θ 38.0, d = 2.369 Å, I 100
- 2θ 22.0, d = 4.048 Å, I 98
- 2θ 38.4, d = 2.344 Å, I 97
- 2θ 44.2, d = 2.049 Å, I 65
- 2θ 49.9, d = 1.828 Å, I 45
- 2θ 30.6, d = 2.922 Å, I 43

Atomic structure:
```
Al2ReSb
1.0
5.7498 0.0000 0.0000
0.0000 8.0960 0.0000
0.0000 0.0000 2.9221
Al Re Sb
4 2 2
Cartesian
1.4375 2.0240 0.0000 Al
1.4375 6.0720 0.0000 Al
4.3124 2.0240 0.0000 Al
4.3124 6.0720 0.0000 Al
0.0000 0.0000 1.4610 Re
2.8749 4.0480 1.4610 Re
0.0000 4.0480 1.4610 Sb
2.8749 0.0000 1.4610 Sb
```


# 2
This entry pairs a crystal structure of Pm7Er3Th with its calculated X-ray powder pattern. Radiation: CuKα. Structure: DFT lattice parameters and positions (GGA-PBE).
Intensities are scaled so that the largest is 100.

Most intense lines, 15° ≤ 2θ ≤ 90°, in order of falling intensity:
- 2θ 31.5, d = 2.836 Å, I 100
- 2θ 32.4, d = 2.765 Å, I 63
- 2θ 32.0, d = 2.793 Å, I 32
- 2θ 62.6, d = 1.485 Å, I 19
- 2θ 31.7, d = 2.820 Å, I 19
- 2θ 45.6, d = 1.989 Å, I 12

Atomic structure:
```
Pm7Er3Th
1.0
7.0167 0.0000 0.0000
0.0000 11.1729 0.0000
-3.4597 0.0000 9.5465
Pm Er Th
14 6 2
Cartesian
0.0224 0.1659 1.6400 Pm
0.0224 5.4205 1.6400 Pm
0.0040 8.3797 3.0899 Pm
0.0146 2.7932 3.7989 Pm
0.0368 8.3797 6.4681 Pm
0.0163 0.4952 7.8211 Pm
0.0163 5.0912 7.8211 Pm
3.5407 6.0816 1.7254 Pm
3.5407 10.6777 1.7254 Pm
3.5203 2.7932 3.0784 Pm
3.5424 8.3797 5.7476 Pm
3.5530 2.7932 6.4566 Pm
3.5346 5.7524 7.9065 Pm
3.5346 11.0069 7.9065 Pm
-1.7834 8.3797 9.3582 Er
1.7079 2.7932 0.2031 Er
1.7785 0.0000 4.7732 Er
1.7785 5.5864 4.7732 Er
1.8491 8.3797 9.3434 Er
5.3405 2.7932 0.1883 Er
-1.7298 0.0000 4.7732 Th
-1.7298 5.5864 4.7732 Th
```


# 3
This entry pairs a crystal structure of Cu6Se2SCl2 with its calculated X-ray powder pattern. Radiation: CuKα. Structure: DFT lattice parameters and positions (GGA-PBE).
Intensities are scaled so that the largest is 100.

Most intense lines, 15° ≤ 2θ ≤ 90°, in order of falling intensity:
- 2θ 16.3, d = 5.452 Å, I 100
- 2θ 45.2, d = 2.008 Å, I 81
- 2θ 46.3, d = 1.961 Å, I 46
- 2θ 32.8, d = 2.728 Å, I 27
- 2θ 44.0, d = 2.059 Å, I 23
- 2θ 48.8, d = 1.865 Å, I 22

Atomic structure:
```
Cu6Se2SCl2
1.0
3.6426 -5.5958 0.0000
3.6426 5.5958 0.0000
-3.6214 0.0000 6.0802
Cu Se S Cl
6 2 1 2
Cartesian
0.6504 3.7637 3.5161 Cu
0.9416 0.0000 1.4317 Cu
3.0133 3.7637 2.5641 Cu
0.6504 -3.7637 3.5161 Cu
2.7222 0.0000 4.6486 Cu
3.0133 -3.7637 2.5641 Cu
1.8319 1.6577 3.0401 Se
1.8319 -1.6577 3.0401 Se
-1.8107 0.0000 3.0401 S
3.6426 3.9260 0.0000 Cl
3.6426 -3.9260 0.0000 Cl
```


# 4
This entry pairs a crystal structure of YBe3Ir2 with its calculated X-ray powder pattern. Radiation: CuKα. Structure: DFT lattice parameters and positions (GGA-PBE).
Intensities are scaled so that the largest is 100.

Most intense lines, 15° ≤ 2θ ≤ 90°, in order of falling intensity:
- 2θ 42.9, d = 2.107 Å, I 100
- 2θ 34.6, d = 2.592 Å, I 86
- 2θ 24.6, d = 3.619 Å, I 64
- 2θ 62.6, d = 1.484 Å, I 31
- 2θ 67.8, d = 1.383 Å, I 26
- 2θ 19.8, d = 4.489 Å, I 17

Atomic structure:
```
YBe3Ir2
1.0
5.1840 0.0000 0.0000
-2.5920 4.4895 0.0000
0.0000 0.0000 3.6191
Y Be Ir
1 3 2
Cartesian
0.0000 0.0000 0.0000 Y
-1.2960 2.2447 1.8096 Be
2.5920 0.0000 1.8096 Be
1.2960 2.2447 1.8096 Be
0.0000 2.9930 0.0000 Ir
2.5920 1.4965 0.0000 Ir
```


# 5
This entry pairs a crystal structure of Sm2Dy3Y8 with its calculated X-ray powder pattern. Radiation: CuKα. Structure: DFT lattice parameters and positions (GGA-PBE).
Intensities are scaled so that the largest is 100.

Most intense lines, 15° ≤ 2θ ≤ 90°, in order of falling intensity:
- 2θ 31.6, d = 2.827 Å, I 100
- 2θ 31.4, d = 2.847 Å, I 70
- 2θ 29.9, d = 2.990 Å, I 69
- 2θ 34.5, d = 2.599 Å, I 64
- 2θ 31.2, d = 2.869 Å, I 42
- 2θ 36.5, d = 2.465 Å, I 33

Atomic structure:
```
Sm2Dy3Y8
1.0
11.7600 0.0000 0.0000
0.0000 20.7072 0.0000
0.0000 0.0000 3.5218
Sm Dy Y
4 6 16
Cartesian
2.1076 2.0368 0.0000 Sm
3.7724 12.3904 0.0000 Sm
7.9876 8.3168 0.0000 Sm
9.6524 18.6704 0.0000 Sm
0.0000 0.0000 1.7609 Dy
1.7158 14.5123 1.7609 Dy
4.1642 4.1587 1.7609 Dy
5.8800 10.3536 1.7609 Dy
7.5958 16.5485 1.7609 Dy
10.0442 6.1949 1.7609 Dy
0.5342 11.8406 0.0000 Y
0.6395 17.4280 1.7609 Y
1.5117 5.9196 0.0000 Y
2.4501 9.2717 1.7609 Y
3.4299 19.6253 1.7609 Y
4.3683 16.2732 0.0000 Y
5.2405 7.0744 1.7609 Y
5.3459 1.4870 0.0000 Y
6.4142 19.2202 0.0000 Y
6.5195 13.6328 1.7609 Y
7.3917 4.4340 0.0000 Y
8.3301 1.0819 1.7609 Y
9.3099 11.4355 1.7609 Y
10.2483 14.7876 0.0000 Y
11.1205 3.2792 1.7609 Y
11.2259 8.8666 0.0000 Y
```


# 6
This entry pairs a crystal structure of FeH2Ir4 with its calculated X-ray powder pattern. Radiation: CuKα. Structure: DFT lattice parameters and positions (GGA-PBE).
Intensities are scaled so that the largest is 100.

Most intense lines, 15° ≤ 2θ ≤ 90°, in order of falling intensity:
- 2θ 34.9, d = 2.572 Å, I 100
- 2θ 40.9, d = 2.205 Å, I 47
- 2θ 58.3, d = 1.583 Å, I 29
- 2θ 70.7, d = 1.333 Å, I 27
- 2θ 39.6, d = 2.275 Å, I 22
- 2θ 59.3, d = 1.559 Å, I 16

Atomic structure:
```
FeH2Ir4
1.0
4.4096 0.0000 0.0000
0.0000 4.4096 0.0000
0.0000 0.0000 9.1003
Fe H Ir
2 4 8
Cartesian
0.0000 0.0000 0.0000 Fe
2.2048 2.2048 4.5502 Fe
0.0000 0.0000 4.0237 H
0.0000 0.0000 5.0767 H
2.2048 2.2048 0.5265 H
2.2048 2.2048 8.5739 H
0.0000 0.0000 2.4652 Ir
0.0000 0.0000 6.6352 Ir
0.0000 2.2048 0.0000 Ir
0.0000 2.2048 4.5502 Ir
2.2048 0.0000 0.0000 Ir
2.2048 0.0000 4.5502 Ir
2.2048 2.2048 2.0850 Ir
2.2048 2.2048 7.0154 Ir
```